This entry pairs a crystal structure of Tm2Sc5In4 with its simulated powder diffractogram. Radiation: Cu Kα, 1.54184 Å. Structure: a cell relaxed with GGA-PBE.
Kinematic intensities with the Lorentz-polarization factor, no thermal factor.

Crystal structure
Cell: 8.165 3.199 10.313 Å, 90.00 95.82 90.00°
Space group P2/m (No. 10)
Unique sites:
Tm  0.080  0.000  0.143 [2 per cell]
Sc  0.185  0.000  0.657 [2 per cell]
Sc  0.456  0.000  0.184 [2 per cell]
Sc  0.500  0.000  0.500 [1 per cell]
In  0.185  0.500  0.396 [2 per cell]
In  0.268  0.500  0.932 [2 per cell]

Peak list (6 most intense, 2θ from 10° to 90°, by intensity)
2θ (°), d/Å, I/Imax
10.9, 8.123, 100.0
35.4, 2.534, 93.8
35.6, 2.520, 74.1
35.7, 2.513, 72.2
34.3, 2.617, 64.1
36.0, 2.495, 57.0